Record 1
Computed PXRD pattern of Ni2Mo3O8 for Cu Kα (λ = 1.5418 Å), from a PBE+U-relaxed structure.

```
26
Lattice="5.8374 0.0000 0.0000 -2.9187 5.0553 0.0000 0.0000 0.0000 10.0442" Properties=species:S:1:pos:R:3 pbc="T T T"
Ni 0.0000 3.3702 0.0000
Ni 0.0000 3.3702 4.3772
Ni 2.9187 1.6851 5.0221
Ni 2.9187 1.6851 9.3993
Mo 0.0000 1.4770 7.0187
Mo -1.6396 4.3168 7.0187
Mo 1.2791 0.7385 1.9966
Mo 1.6396 4.3168 7.0187
Mo 4.5583 0.7385 1.9966
Mo 2.9187 3.5783 1.9966
O 0.0000 0.0000 0.5598
O 0.0000 0.0000 5.5819
O -1.3577 2.5864 5.8422
O 0.0000 1.7133 3.1650
O -1.4349 4.1987 3.1650
O 0.0000 3.3702 8.0530
O 1.4838 0.8567 8.1871
O 1.3577 2.5864 5.8422
O 0.0000 4.9379 5.8422
O 2.9187 0.1174 0.8201
O 1.5610 2.4690 0.8201
O 1.4349 4.1987 3.1650
O 2.9187 1.6851 3.0309
O 4.3536 0.8567 8.1871
O 2.9187 3.3420 8.1871
O 4.2764 2.4690 0.8201
```

The 10 most intense peaks (10 to 90 degrees two-theta), in order of rising 2θ:
(0 0 2), 2θ 17.66, I = 64
(1 0 2), 2θ 24.99, I = 95
(1 0 3), 2θ 32.06, I = 36
(1 1 2), 2θ 35.56, I = 100
(2 0 1), 2θ 36.66, I = 79
(2 0 3), 2θ 44.93, I = 43
(2 0 4), 2θ 51.28, I = 25
(2 1 3), 2θ 55.34, I = 47
(2 0 5), 2θ 58.71, I = 53
(2 2 0), 2θ 63.78, I = 33

***

Record 2
Computed PXRD pattern of NiMoO2 for Cu Kα (λ = 1.5418 Å), from a PBE+U-relaxed structure.

```
16
Lattice="5.3274 0.0000 0.0000 0.0000 5.9657 0.0000 0.0000 0.0000 6.5207" Properties=species:S:1:pos:R:3 pbc="T T T"
Ni 0.0000 1.2226 0.0000
Ni 0.0000 4.7431 0.0000
Ni 2.6637 1.7603 3.2603
Ni 2.6637 4.2054 3.2603
Mo 0.0000 2.9828 1.9821
Mo 0.0000 2.9828 4.5386
Mo 2.6637 0.0000 1.2783
Mo 2.6637 0.0000 5.2424
O 1.3148 1.4662 1.6365
O 1.3148 4.4995 4.8842
O 1.3489 1.5166 4.8968
O 1.3489 4.4490 1.6238
O 3.9785 1.5166 1.6238
O 3.9785 4.4490 4.8968
O 4.0126 1.4662 4.8842
O 4.0126 4.4995 1.6365
```

The 10 most intense peaks (10 to 90 degrees two-theta), in order of rising 2θ:
(0 1 1), 2θ 20.17, I = 52
(1 0 1), 2θ 21.54, I = 19
(1 1 0), 2θ 22.37, I = 100
(2 0 0), 2θ 33.65, I = 46
(1 1 2), 2θ 35.62, I = 84
(1 2 1), 2θ 37.20, I = 64
(0 2 2), 2θ 41.01, I = 31
(1 0 3), 2θ 45.05, I = 52
(1 3 0), 2θ 48.89, I = 40
(2 2 2), 2θ 54.05, I = 68